V3As2O9: simulated X-ray diffraction stick pattern (Cu Kα), based on a structure optimized by DFT (PBE+U).
Neutral-atom scattering factors, no anomalous dispersion.

Top 10 peaks for 10 to 90 degrees two-theta, in order of rising 2θ:
2θ = 18.46°, rel. 94; 2θ = 27.05°, rel. 94; 2θ = 27.85°, rel. 46; 2θ = 28.82°, rel. 100; 2θ = 31.22°, rel. 50; 2θ = 41.08°, rel. 28; 2θ = 42.59°, rel. 29; 2θ = 43.80°, rel. 26; 2θ = 45.38°, rel. 37; 2θ = 55.11°, rel. 21

Atomic structure:
Cell lengths 9.060, 9.060, 4.806 Å; angles 90.00, 90.00, 90.00 degrees
Fractional positions:
V  0.000  0.000  0.000
V  0.118  0.382  0.923
V  0.382  0.882  0.923
V  0.500  0.500  0.000
V  0.618  0.118  0.923
V  0.882  0.618  0.923
As  0.199  0.699  0.275
As  0.301  0.199  0.275
As  0.699  0.801  0.275
As  0.801  0.301  0.275
O  0.000  0.000  0.661
O  0.097  0.597  0.002
O  0.120  0.182  0.100
O  0.134  0.366  0.582
O  0.182  0.880  0.100
O  0.318  0.380  0.100
O  0.366  0.866  0.582
O  0.380  0.682  0.100
O  0.403  0.097  0.002
O  0.500  0.500  0.661
O  0.597  0.903  0.002
O  0.620  0.318  0.100
O  0.634  0.134  0.582
O  0.682  0.620  0.100
O  0.818  0.120  0.100
O  0.866  0.634  0.582
O  0.880  0.818  0.100
O  0.903  0.403  0.002